# CsNa2Ho2BP2O11
Simulated powder XRD pattern, copper Kα. Input: DFT lattice parameters and positions (GGA-PBE).
Neutral-atom scattering factors, no anomalous dispersion.

Atomic structure:
```
CsNa2Ho2BP2O11
1.0
3.464 -7.357 0.000
3.464 7.357 0.000
0.000 0.000 10.585
Cs Na Ho B P O
2 4 4 2 4 22
direct
0.018 0.982 0.750 Cs
0.982 0.018 0.250 Cs
0.012 0.500 0.750 Na
0.500 0.012 0.250 Na
0.500 0.988 0.750 Na
0.988 0.500 0.250 Na
0.381 0.619 0.531 Ho
0.381 0.619 0.969 Ho
0.619 0.381 0.031 Ho
0.619 0.381 0.469 Ho
0.484 0.516 0.750 B
0.516 0.484 0.250 B
0.182 0.818 0.025 P
0.182 0.818 0.475 P
0.818 0.182 0.525 P
0.818 0.182 0.975 P
0.057 0.303 0.550 O
0.057 0.303 0.950 O
0.223 0.777 0.610 O
0.223 0.777 0.890 O
0.266 0.734 0.114 O
0.266 0.734 0.386 O
0.303 0.057 0.050 O
0.303 0.057 0.450 O
0.389 0.611 0.750 O
0.474 0.526 0.133 O
0.474 0.526 0.367 O
0.526 0.474 0.633 O
0.526 0.474 0.867 O
0.611 0.389 0.250 O
0.697 0.943 0.550 O
0.697 0.943 0.950 O
0.734 0.266 0.614 O
0.734 0.266 0.886 O
0.777 0.223 0.110 O
0.777 0.223 0.390 O
0.943 0.697 0.050 O
0.943 0.697 0.450 O
```

Top 8 peaks for 2θ from 10° to 80°, in order of rising 2θ:
5.293 Å, I = 31; 4.044 Å, I = 100; 4.003 Å, I = 26; 3.464 Å, I = 70; 3.021 Å, I = 83; 2.708 Å, I = 37; 2.277 Å, I = 35; 2.095 Å, I = 25

***

# IrXe2F9
Simulated powder XRD pattern, copper Kα. Input: DFT lattice parameters and positions (GGA-PBE).
Neutral-atom scattering factors, no anomalous dispersion.

Atomic structure:
```
IrXe2F9
1.0
6.792 -3.841 0.000
6.792 3.841 0.000
-6.038 0.000 7.019
Ir Xe F
2 4 18
direct
0.122 0.878 0.500 Ir
0.878 0.122 0.000 Ir
0.260 0.400 0.977 Xe
0.400 0.260 0.477 Xe
0.608 0.778 0.036 Xe
0.778 0.608 0.536 Xe
0.017 0.412 0.702 F
0.061 0.282 0.090 F
0.088 0.843 0.948 F
0.091 0.776 0.248 F
0.157 0.971 0.752 F
0.282 0.061 0.590 F
0.343 0.485 0.717 F
0.397 0.667 0.555 F
0.412 0.017 0.202 F
0.485 0.343 0.217 F
0.542 0.760 0.357 F
0.667 0.397 0.055 F
0.675 0.978 0.904 F
0.760 0.542 0.857 F
0.776 0.091 0.748 F
0.843 0.088 0.448 F
0.971 0.157 0.252 F
0.978 0.675 0.404 F
```

Top 8 peaks for 2θ from 10° to 80°, in order of rising 2θ:
3.836 Å, I = 68; 3.658 Å, I = 100; 3.510 Å, I = 58; 3.370 Å, I = 94; 3.134 Å, I = 67; 2.215 Å, I = 58; 2.182 Å, I = 26; 1.970 Å, I = 24

***

# La2SmGa2
Simulated powder XRD pattern, copper Kα. Input: DFT lattice parameters and positions (GGA-PBE).
Neutral-atom scattering factors, no anomalous dispersion.

Atomic structure:
```
La2SmGa2
1.0
7.797 0.000 0.000
0.000 7.926 0.000
0.000 0.000 4.670
La Sm Ga
4 2 4
direct
0.174 0.170 0.000 La
0.326 0.670 0.000 La
0.674 0.330 0.000 La
0.826 0.830 0.000 La
0.000 0.500 0.500 Sm
0.500 0.000 0.500 Sm
0.117 0.880 0.500 Ga
0.383 0.380 0.500 Ga
0.617 0.620 0.500 Ga
0.883 0.120 0.500 Ga
```

Top 8 peaks for 2θ from 10° to 80°, in order of rising 2θ:
3.576 Å, I = 34; 3.022 Å, I = 60; 2.993 Å, I = 66; 2.818 Å, I = 100; 2.800 Å, I = 93; 2.502 Å, I = 46; 2.470 Å, I = 44; 2.335 Å, I = 52

***

# CuSb5Pt3
Simulated powder XRD pattern, copper Kα. Input: DFT lattice parameters and positions (GGA-PBE).
Neutral-atom scattering factors, no anomalous dispersion.

Atomic structure:
```
CuSb5Pt3
1.0
5.592 0.000 0.000
-2.796 4.843 0.000
0.000 0.000 8.076
Cu Sb Pt
1 5 3
direct
0.000 0.000 0.000 Cu
0.000 0.000 0.500 Sb
0.333 0.667 0.205 Sb
0.333 0.667 0.795 Sb
0.667 0.333 0.205 Sb
0.667 0.333 0.795 Sb
0.000 0.500 0.500 Pt
0.500 0.000 0.500 Pt
0.500 0.500 0.500 Pt
```

Top 8 peaks for 2θ from 10° to 80°, in order of rising 2θ:
8.076 Å, I = 100; 4.843 Å, I = 24; 2.796 Å, I = 25; 2.692 Å, I = 31; 2.319 Å, I = 60; 2.299 Å, I = 20; 2.077 Å, I = 84; 1.398 Å, I = 29